Entry 1:
This entry pairs a crystal structure of Cs2PrCl6 with its computed powder diffraction line list. Radiation: copper Kα. Structure: a crystal structure in Alexandria, relaxed with GGA-PBE.

Crystal structure
abc: 4.508 15.136 8.725
angles: 90.00 90.00 90.00
Space group Amm2 (No. 38)
Symmetry-distinct sites (fractional):
Cs1 0.000 0.167 0.000
Pr1 0.500 0.000 0.501
Cl1 0.000 0.000 0.724
Cl2 0.000 0.111 0.389
Cl3 0.500 0.000 0.169
Cl4 0.500 0.166 0.666

The 10 most intense peaks (10 to 90 degrees two-theta), low angle first:
| 2θ/deg | I_rel |
| --- | --- |
| 20.34 | 100 |
| 22.97 | 70 |
| 28.46 | 40 |
| 30.87 | 62 |
| 35.62 | 60 |
| 37.25 | 86 |
| 45.28 | 26 |
| 47.83 | 27 |
| 54.62 | 33 |
| 55.70 | 22 |

Entry 2:
This entry pairs a crystal structure of CrAgAs2Br with its computed powder diffraction line list. Radiation: copper Kα. Structure: a crystal structure in Alexandria, relaxed with GGA-PBE.

Crystal structure
abc: 4.612 4.612 5.543
angles: 90.00 90.00 90.00
Space group P4/mmm (No. 123)
Symmetry-distinct sites (fractional):
Cr1 0.000 0.000 0.000
Ag1 0.500 0.500 0.500
As1 0.000 0.500 0.000
Br1 0.000 0.000 0.500

The 10 most intense peaks (10 to 90 degrees two-theta), low angle first:
| 2θ/deg | I_rel |
| --- | --- |
| 25.12 | 15 |
| 31.84 | 100 |
| 32.30 | 45 |
| 39.07 | 53 |
| 51.56 | 46 |
| 56.44 | 17 |
| 57.32 | 18 |
| 66.27 | 24 |
| 66.54 | 21 |
| 84.67 | 12 |

Entry 3:
This entry pairs a crystal structure of Tm2Zr2S7 with its computed powder diffraction line list. Radiation: copper Kα. Structure: a crystal structure in Alexandria, relaxed with GGA-PBE.

Crystal structure
abc: 3.756 13.844 8.244
angles: 90.00 90.00 90.00
Space group Imm2 (No. 44)
Symmetry-distinct sites (fractional):
Tm1 0.000 0.000 0.000
Tm2 0.000 0.500 0.034
Zr1 0.000 0.257 0.798
S1 0.000 0.147 0.495
S2 0.000 0.186 0.104
S3 0.000 0.388 0.315
S4 0.000 0.500 0.724

The 10 most intense peaks (10 to 90 degrees two-theta), low angle first:
| 2θ/deg | I_rel |
| --- | --- |
| 25.14 | 93 |
| 25.74 | 44 |
| 26.07 | 57 |
| 29.14 | 62 |
| 36.96 | 100 |
| 42.82 | 64 |
| 45.03 | 35 |
| 48.47 | 24 |
| 55.37 | 22 |
| 68.30 | 22 |

Entry 4:
This entry pairs a crystal structure of Li2Zn4Cu5 with its computed powder diffraction line list. Radiation: copper Kα. Structure: a crystal structure in Alexandria, relaxed with GGA-PBE.

Crystal structure
abc: 3.895 6.011 6.757
angles: 108.39 106.57 90.17
Space group P-1 (No. 2)
Symmetry-distinct sites (fractional):
Li1 0.091 0.455 0.181
Zn1 0.177 0.903 0.354
Zn2 0.364 0.807 0.727
Cu1 0.000 0.000 0.000
Cu2 0.273 0.361 0.549
Cu3 0.455 0.267 0.910

The 10 most intense peaks (10 to 90 degrees two-theta), low angle first:
| 2θ/deg | I_rel |
| --- | --- |
| 15.62 | 22 |
| 23.98 | 12 |
| 30.06 | 12 |
| 41.95 | 52 |
| 42.00 | 100 |
| 42.12 | 50 |
| 46.64 | 38 |
| 47.45 | 34 |
| 52.48 | 25 |
| 83.24 | 12 |